Diffraction record for AgH12C4S5N. The X-ray powder pattern is calculated, not measured: it uses a PBE-relaxed structure and Cu Kα (λ = 1.5418 Å).
Peak positions follow from Bragg's law for the DFT cell and can differ from measured ones.

Largest 6 diffraction maxima, by angle, 10° ≤ 2θ ≤ 90°:
2θ = 10.66°, I 100.0
2θ = 19.16°, I 20.2
2θ = 24.10°, I 12.3
2θ = 25.84°, I 14.3
2θ = 31.47°, I 15.9
2θ = 32.36°, I 14.2

Cell and atoms:
```
AgH12C4S5N
1.0
5.522 -9.318 0.000
5.522 9.318 0.000
-3.931 0.000 6.056
Ag H C S N
2 24 8 10 2
Cartesian
3.557 8.909 3.028 Ag
5.522 -8.909 0.000 Ag
2.759 3.146 2.503 H
4.348 3.103 0.676 H
3.703 4.461 3.303 H
5.305 4.418 1.465 H
3.325 2.957 4.203 H
3.835 1.082 1.881 H
6.103 2.868 1.016 H
1.870 -1.082 4.909 H
6.071 4.141 3.750 H
4.418 0.864 3.576 H
0.794 -3.146 5.531 H
5.594 0.841 2.226 H
2.383 -3.103 3.704 H
5.701 2.631 4.666 H
6.384 -0.864 0.548 H
6.875 2.601 3.304 H
3.628 -0.841 5.254 H
5.291 -2.957 1.175 H
4.137 -2.868 4.044 H
5.668 -4.461 0.275 H
3.340 -4.418 4.493 H
7.667 -2.631 1.638 H
8.841 -2.601 0.276 H
8.037 -4.141 0.722 H
3.561 3.380 3.218 C
5.173 3.334 1.365 C
4.654 1.275 2.589 C
5.952 3.053 3.682 C
2.688 -1.275 5.617 C
5.526 -3.380 0.190 C
3.207 -3.334 4.393 C
7.918 -3.053 0.655 C
-0.178 2.793 3.194 S
-2.144 2.246 5.938 S
1.793 6.258 4.933 S
-0.756 1.435 4.655 S
-0.178 -2.246 2.910 S
1.209 -1.435 1.627 S
1.788 -2.793 0.166 S
3.758 -6.258 1.905 S
8.843 1.236 1.027 S
6.878 -1.236 4.055 S
4.835 2.760 2.716 N
2.870 -2.760 5.744 N
```

=====

Diffraction record for BaTi2As2O. The X-ray powder pattern is calculated, not measured: it uses a PBE-relaxed structure and Cu Kα (λ = 1.5418 Å).
Peak positions follow from Bragg's law for the DFT cell and can differ from measured ones.

Largest 6 diffraction maxima, by angle, 10° ≤ 2θ ≤ 90°:
2θ = 25.02°, I 31.8
2θ = 31.11°, I 27.1
2θ = 32.81°, I 100.0
2θ = 33.46°, I 42.6
2θ = 44.58°, I 35.7
2θ = 56.45°, I 40.7

Cell and atoms:
```
BaTi2As2O
1.0
4.065 0.000 0.000
0.000 4.065 0.000
0.000 0.000 7.367
Ba Ti As O
1 2 2 1
Cartesian
0.000 0.000 0.000 Ba
0.000 2.032 3.684 Ti
2.032 0.000 3.684 Ti
2.032 2.032 1.893 As
2.032 2.032 5.474 As
0.000 0.000 3.684 O
```